Entry 1:
For TiCuBr, a structure optimized by DFT (GGA-PBE) gives the calculated powder XRD pattern in this record (Cu Kα, 1.54184 Å).

Top 10 peaks for 5 to 70 degrees two-theta, in order of rising 2θ:
6.5 deg, rel. 25
26.1 deg, rel. 20
32.2 deg, rel. 67
32.9 deg, rel. 10
37.9 deg, rel. 18
41.9 deg, rel. 100
57.5 deg, rel. 26
64.0 deg, rel. 9
64.2 deg, rel. 9
67.4 deg, rel. 7

Crystal structure
a = 13.6720 Å, b = 3.2069 Å, c = 3.2069 Å
α = 59.99°, β = 90.00°, γ = 90.00°
Atoms (fractional coordinates):
Ti 0.1383 0.0000 0.0000
Ti 0.8617 0.0000 0.0000
Cu 0.0000 0.3336 0.3336
Cu 0.5000 0.3352 0.3352
Br 0.2701 0.3333 0.3333
Br 0.7299 0.3333 0.3333

---

Entry 2:
For Tb2Nd2Ho4Er, a structure optimized by DFT (GGA-PBE) gives the calculated powder XRD pattern in this record (Cu Kα, 1.54184 Å).

Top 10 peaks for 5 to 70 degrees two-theta, in order of rising 2θ:
28.9 deg, rel. 36
29.5 deg, rel. 18
31.2 deg, rel. 51
31.9 deg, rel. 100
33.6 deg, rel. 91
50.8 deg, rel. 39
54.8 deg, rel. 21
58.1 deg, rel. 20
60.8 deg, rel. 46
61.3 deg, rel. 16

Crystal structure
a = 9.5006 Å, b = 9.5006 Å, c = 9.5575 Å
α = 115.21°, β = 115.21°, γ = 21.82°
Atoms (fractional coordinates):
Tb 0.1470 0.1470 0.1628
Tb 0.8530 0.8530 0.8372
Nd 0.3348 0.3348 0.5001
Nd 0.6652 0.6652 0.4999
Ho 0.1852 0.1852 0.8360
Ho 0.4806 0.4806 0.1658
Ho 0.5194 0.5194 0.8342
Ho 0.8148 0.8148 0.1640
Er 0.0000 0.0000 0.5000

---

Entry 3:
For Ag2P, a structure optimized by DFT (GGA-PBE) gives the calculated powder XRD pattern in this record (Cu Kα, 1.54184 Å).

Top 10 peaks for 5 to 70 degrees two-theta, in order of rising 2θ:
18.7 deg, rel. 9
35.5 deg, rel. 100
38.2 deg, rel. 13
42.6 deg, rel. 24
42.8 deg, rel. 12
47.1 deg, rel. 6
58.5 deg, rel. 7
60.2 deg, rel. 7
67.3 deg, rel. 14
68.7 deg, rel. 11

Crystal structure
a = 5.2974 Å, b = 5.2974 Å, c = 5.2974 Å
α = 101.41°, β = 101.41°, γ = 127.17°
Atoms (fractional coordinates):
Ag 0.1481 0.6481 0.7962
Ag 0.3519 0.1481 0.5000
Ag 0.6481 0.8519 0.5000
Ag 0.8519 0.3519 0.2038
P 0.2500 0.2500 0.0000
P 0.7500 0.7500 0.0000

---

Entry 4:
For K5Na3Ta5Nb3O24, a structure optimized by DFT (GGA-PBE) gives the calculated powder XRD pattern in this record (Cu Kα, 1.54184 Å).

Top 10 peaks for 5 to 70 degrees two-theta, in order of rising 2θ:
22.0 deg, rel. 38
22.1 deg, rel. 74
31.3 deg, rel. 100
31.4 deg, rel. 50
44.8 deg, rel. 17
45.1 deg, rel. 34
50.5 deg, rel. 16
50.7 deg, rel. 24
55.8 deg, rel. 20
55.9 deg, rel. 29

Crystal structure
a = 8.0473 Å, b = 8.0500 Å, c = 8.0964 Å
α = 89.88°, β = 89.90°, γ = 89.94°
Atoms (fractional coordinates):
K 0.0000 0.0000 0.0000
K 0.0000 0.0004 0.4994
K 0.9996 0.5012 0.4995
K 0.4996 0.9999 0.0002
K 0.5001 0.9999 0.4993
Na 0.4914 0.4930 0.9826
Na 0.4926 0.4933 0.4849
Na 0.9921 0.4920 0.9833
Ta 0.2468 0.2490 0.2452
Ta 0.2491 0.2506 0.7467
Ta 0.2496 0.7473 0.7451
Ta 0.7476 0.2508 0.7448
Ta 0.7480 0.7473 0.7459
Nb 0.2438 0.7443 0.2429
Nb 0.7424 0.7413 0.2437
Nb 0.7456 0.2459 0.2430
O 0.0037 0.2577 0.7586
O 0.0042 0.7510 0.7590
O 0.0059 0.2607 0.2541
O 0.0057 0.7533 0.2565
O 0.2541 0.0049 0.7569
O 0.2549 0.0077 0.2547
O 0.2551 0.2607 0.0060
O 0.2547 0.5038 0.7596
O 0.2554 0.7497 0.0059
O 0.2565 0.2581 0.5071
O 0.2566 0.7513 0.5090
O 0.2611 0.5044 0.2588
O 0.5032 0.2597 0.7591
O 0.5036 0.2602 0.2562
O 0.5038 0.7498 0.7602
O 0.5049 0.7548 0.2578
O 0.7508 0.2582 0.5087
O 0.7524 0.0052 0.7576
O 0.7530 0.5052 0.2586
O 0.7526 0.7525 0.5095
O 0.7537 0.2605 0.0055
O 0.7544 0.5041 0.7617
O 0.7552 0.0072 0.2555
O 0.7548 0.7510 0.0063

---

Number 2 is which compound? Tb2Nd2Ho4Er